Record 1
The following is a computed X-ray powder pattern of PrNpI6. It was derived from the PBE geometry in Alexandria, using a wavelength of 1.5418 Å.

Main lines, by angle (10 to 90 degrees two-theta):
7.165 Å, I 53, (0 2 0); 5.727 Å, I 52, (1 1 -1); 3.293 Å, I 100, (1 3 1); 3.124 Å, I 45, (2 0 -2); 2.566 Å, I 23, (0 4 2); 2.271 Å, I 55, (2 0 2); 2.262 Å, I 35, (3 3 -1); 1.897 Å, I 20, (2 6 -2)

Atomic structure:
abc: 7.708 14.331 7.745
angles: 90.00 107.93 90.00
Space group C2/m (No. 12)
Unique sites:
Pr: 0.000 0.000 0.000 x2
Np: 0.000 0.500 0.500 x2
I: 0.245 0.349 0.750 x8
I: 0.250 0.000 0.746 x4

---

Record 2
The following is a computed X-ray powder pattern of Rb3NpI8. It was derived from the PBE geometry in Alexandria, using a wavelength of 1.5418 Å.

Main lines, by angle (10 to 90 degrees two-theta):
7.514 Å, I 37, (1 0 1); 4.844 Å, I 44, (1 1 2); 2.976 Å, I 50, (2 2 0); 2.962 Å, I 100, (2 0 4); 2.536 Å, I 16, (3 1 2); 2.312 Å, I 14, (3 2 1); 2.104 Å, I 15, (4 0 0); 1.715 Å, I 28, (4 2 4)

Atomic structure:
abc: 8.417 8.417 16.676
angles: 90.00 90.00 90.00
Space group I4/mmm (No. 139)
Unique sites:
Rb: 0.000 0.000 0.000 x2
Rb: 0.000 0.500 0.250 x4
Np: 0.000 0.000 0.500 x2
I: 0.221 0.221 0.389 x16

---

Record 3
The following is a computed X-ray powder pattern of RbNp3I8. It was derived from the PBE geometry in Alexandria, using a wavelength of 1.5418 Å.

Main lines, by angle (10 to 90 degrees two-theta):
7.356 Å, I 20, (1 0 1); 3.327 Å, I 100, (0 2 4); 2.716 Å, I 29, (0 2 7); 2.531 Å, I 38, (2 0 8); 2.207 Å, I 35, (2 2 0); 2.143 Å, I 16, (2 2 3); 2.067 Å, I 19, (2 0 11); 1.839 Å, I 19, (4 0 4)

Atomic structure:
abc: 8.8270 8.8270 27.0255
angles: 90.00 90.00 120.00
Space group R-3m (No. 166, hexagonal axes)
Unique sites:
Rb: 0.0000 0.0000 0.0000 x3
Np: 0.0000 0.5000 0.5000 x9
I: 0.0000 0.0000 0.2372 x6
I: 0.0025 0.5013 0.2347 x18

---

Record 4
The following is a computed X-ray powder pattern of RbNp2I6. It was derived from the PBE geometry in Alexandria, using a wavelength of 1.5418 Å.

Main lines, by angle (10 to 90 degrees two-theta):
8.184 Å, I 51, (0 0 1); 7.001 Å, I 26, (1 0 0); 5.320 Å, I 57, (1 0 1); 3.624 Å, I 100, (2 -1 1); 2.876 Å, I 96, (2 -1 2); 2.518 Å, I 24, (3 -1 1); 2.334 Å, I 45, (3 0 0); 2.261 Å, I 35, (1 1 3)

Atomic structure:
abc: 8.0844 8.0844 8.1839
angles: 90.00 90.00 120.00
Space group P-31m (No. 162)
Unique sites:
Rb: 0.0000 0.0000 0.0000 x1
Np: 0.3333 0.6667 0.5000 x2
I: 0.0000 0.3702 0.7261 x6

---

Record 5
The following is a computed X-ray powder pattern of RbNpTl2I6. It was derived from the PBE geometry in Alexandria, using a wavelength of 1.5418 Å.

Main lines, by angle (10 to 90 degrees two-theta):
7.555 Å, I 100, (0 1 1); 4.493 Å, I 50, (1 1 1); 4.274 Å, I 50, (1 1 -3); 3.491 Å, I 48, (1 2 1); 3.345 Å, I 55, (1 1 -4); 3.133 Å, I 49, (2 2 -2); 2.915 Å, I 47, (1 3 0); 2.379 Å, I 49, (3 1 -5)

Atomic structure:
abc: 8.291 9.599 14.351
angles: 90.00 121.43 90.00
Space group P2_1/c (No. 14)
Unique sites:
Rb: 0.000 0.000 0.000 x2
Np: 0.500 0.000 0.500 x2
Tl: 0.193 0.075 0.713 x4
I: 0.146 0.165 0.460 x4
I: 0.248 0.733 0.402 x4
I: 0.419 0.092 0.271 x4

---

Record 6
The following is a computed X-ray powder pattern of RbNpTlI6. It was derived from the PBE geometry in Alexandria, using a wavelength of 1.5418 Å.

Main lines, by angle (10 to 90 degrees two-theta):
7.479 Å, I 56, (0 0 2); 5.287 Å, I 48, (1 0 2); 3.734 Å, I 100, (1 1 2); 2.827 Å, I 79, (1 1 4); 2.640 Å, I 31, (2 1 2); 2.486 Å, I 43, (3 0 0); 2.161 Å, I 26, (2 -1 6); 1.868 Å, I 30, (4 -2 4)

Atomic structure:
abc: 8.6130 8.6130 14.9897
angles: 90.00 90.00 120.00
Space group P-31c (No. 163)
Unique sites:
Rb: 0.0000 0.0000 0.0000 x2
Np: 0.3333 0.6667 0.2500 x2
Tl: 0.3333 0.6667 0.7500 x2
I: 0.0425 0.3879 0.1334 x12

---

Record 7
The following is a computed X-ray powder pattern of NpSnI. It was derived from the PBE geometry in Alexandria, using a wavelength of 1.5418 Å.

Main lines, by angle (10 to 90 degrees two-theta):
5.744 Å, I 44, (0 0 1); 5.270 Å, I 46, (2 0 -1); 3.077 Å, I 52, (1 1 -2); 2.924 Å, I 52, (3 1 -2); 2.636 Å, I 80, (4 0 -2); 2.585 Å, I 41, (2 2 -1); 2.522 Å, I 76, (2 0 1); 2.358 Å, I 100, (2 2 0)

Atomic structure:
abc: 10.540 5.934 7.789
angles: 90.00 132.48 90.00
Space group C2/m (No. 12)
Unique sites:
Np: 0.000 0.250 0.000 x4
Sn: 0.177 0.000 0.500 x4
I: 0.156 0.500 0.811 x4

---

Record 8
The following is a computed X-ray powder pattern of NpSnI4. It was derived from the PBE geometry in Alexandria, using a wavelength of 1.5418 Å.

Main lines, by angle (10 to 90 degrees two-theta):
7.942 Å, I 82, (0 0 1); 3.506 Å, I 47, (0 2 0); 3.341 Å, I 100, (1 1 2); 2.885 Å, I 26, (0 2 -1); 2.840 Å, I 34, (1 -1 2); 2.243 Å, I 27, (1 -1 3); 2.219 Å, I 22, (2 0 1); 2.142 Å, I 23, (1 3 2)

Atomic structure:
abc: 4.438 7.398 8.667
angles: 72.02 75.20 89.90
Space group P1 (No. 1)
Unique sites:
Np: 0.000 0.000 0.000 x1
Sn: 0.468 0.572 0.059 x1
I: 0.085 0.453 0.826 x1
I: 0.385 0.097 0.230 x1
I: 0.636 0.012 0.727 x1
I: 0.842 0.607 0.315 x1